[1]
Diffraction record for DyAlFe. The PXRD pattern is calculated, not measured: it uses the GGA-PBE geometry in the Materials Project and Cu Kα X-rays.

Structural model:
```
data_DyAlFe
_chemical_formula_sum 'Dy4 Al4 Fe4'
_symmetry_space_group_name_H-M 'P 1'
_symmetry_Int_Tables_number 1
_cell_length_a 8.691
_cell_length_b 5.313
_cell_length_c 5.313
_cell_angle_alpha 60.92
_cell_angle_beta 90.00
_cell_angle_gamma 90.00
loop_
_symmetry_equiv_pos_as_xyz
'x,y,z'
loop_
_atom_site_label
_atom_site_fract_x
_atom_site_fract_y
_atom_site_fract_z
_atom_site_occupancy
Dy1 0.176 0.000 0.000 1
Dy2 0.305 0.334 0.334 1
Dy3 0.695 0.334 0.334 1
Dy4 0.824 0.000 0.000 1
Al1 0.234 0.673 0.673 1
Al2 0.500 0.328 0.834 1
Al3 0.500 0.834 0.328 1
Al4 0.766 0.673 0.673 1
Fe1 0.000 0.026 0.487 1
Fe2 0.000 0.487 0.026 1
Fe3 0.000 0.495 0.495 1
Fe4 0.500 0.835 0.835 1
```

The 8 most intense peaks (2θ = 10–90°), by intensity:
d [Å], I (rel.)
2.458, 1000
2.266, 752
2.656, 531
2.243, 431
2.448, 402
2.289, 400
2.693, 343
4.643, 304


[2]
Diffraction record for Dy5Mg5Al12Fe4Si6. The PXRD pattern is calculated, not measured: it uses the GGA-PBE geometry in the Materials Project and Cu Kα X-rays.

Structural model:
```
data_Dy5Mg5Al12Fe4Si6
_chemical_formula_sum 'Dy5 Mg5 Al12 Fe4 Si6'
_symmetry_space_group_name_H-M 'P 1'
_symmetry_Int_Tables_number 1
_cell_length_a 11.883
_cell_length_b 11.883
_cell_length_c 3.993
_cell_angle_alpha 90.00
_cell_angle_beta 90.00
_cell_angle_gamma 90.00
loop_
_symmetry_equiv_pos_as_xyz
'x,y,z'
loop_
_atom_site_label
_atom_site_fract_x
_atom_site_fract_y
_atom_site_fract_z
_atom_site_occupancy
Dy1 0.000 0.000 0.000 1
Dy2 0.252 0.500 0.000 1
Dy3 0.500 0.252 0.000 1
Dy4 0.500 0.748 0.000 1
Dy5 0.748 0.500 0.000 1
Mg1 0.202 0.202 0.000 1
Mg2 0.202 0.798 0.000 1
Mg3 0.500 0.500 0.500 1
Mg4 0.798 0.202 0.000 1
Mg5 0.798 0.798 0.000 1
Al1 0.112 0.373 0.500 1
Al2 0.112 0.627 0.500 1
Al3 0.332 0.332 0.500 1
Al4 0.332 0.668 0.500 1
Al5 0.373 0.112 0.500 1
Al6 0.373 0.888 0.500 1
Al7 0.627 0.112 0.500 1
Al8 0.627 0.888 0.500 1
Al9 0.668 0.332 0.500 1
Al10 0.668 0.668 0.500 1
Al11 0.888 0.373 0.500 1
Al12 0.888 0.627 0.500 1
Fe1 0.000 0.305 0.000 1
Fe2 0.000 0.695 0.000 1
Fe3 0.305 0.000 0.000 1
Fe4 0.695 0.000 0.000 1
Si1 0.000 0.188 0.500 1
Si2 0.000 0.500 0.000 1
Si3 0.000 0.812 0.500 1
Si4 0.188 0.000 0.500 1
Si5 0.500 0.000 0.000 1
Si6 0.812 0.000 0.500 1
```

The 8 most intense peaks (2θ = 10–90°), by intensity:
d [Å], I (rel.)
2.384, 1000
2.542, 869
4.201, 476
2.971, 459
5.314, 407
3.192, 369
3.993, 345
2.101, 320


[3]
Diffraction record for DyAlGa. The PXRD pattern is calculated, not measured: it uses the GGA-PBE geometry in the Materials Project and Cu Kα X-rays.

Structural model:
```
data_DyAlGa
_chemical_formula_sum 'Dy1 Al1 Ga1'
_symmetry_space_group_name_H-M 'P 1'
_symmetry_Int_Tables_number 1
_cell_length_a 4.444
_cell_length_b 4.444
_cell_length_c 3.593
_cell_angle_alpha 90.00
_cell_angle_beta 90.00
_cell_angle_gamma 120.00
loop_
_symmetry_equiv_pos_as_xyz
'x,y,z'
loop_
_atom_site_label
_atom_site_fract_x
_atom_site_fract_y
_atom_site_fract_z
_atom_site_occupancy
Dy1 0.000 0.000 0.000 1
Al1 0.333 0.667 0.500 1
Ga1 0.667 0.333 0.500 1
```

The 8 most intense peaks (2θ = 10–90°), by intensity:
d [Å], I (rel.)
2.626, 1000
2.222, 459
3.849, 395
1.696, 269
1.348, 249
1.397, 206
1.797, 79
1.283, 77


[4]
Diffraction record for GdDyAl4. The PXRD pattern is calculated, not measured: it uses the GGA-PBE geometry in the Materials Project and Cu Kα X-rays.

Structural model:
```
data_GdDyAl4
_chemical_formula_sum 'Gd1 Dy1 Al4'
_symmetry_space_group_name_H-M 'P 1'
_symmetry_Int_Tables_number 1
_cell_length_a 5.576
_cell_length_b 5.576
_cell_length_c 5.576
_cell_angle_alpha 60.00
_cell_angle_beta 60.00
_cell_angle_gamma 60.00
loop_
_symmetry_equiv_pos_as_xyz
'x,y,z'
loop_
_atom_site_label
_atom_site_fract_x
_atom_site_fract_y
_atom_site_fract_z
_atom_site_occupancy
Gd1 0.000 0.000 0.000 1
Dy1 0.750 0.750 0.750 1
Al1 0.375 0.375 0.375 1
Al2 0.375 0.375 0.875 1
Al3 0.375 0.875 0.375 1
Al4 0.875 0.375 0.375 1
```

The 8 most intense peaks (2θ = 10–90°), by intensity:
d [Å], I (rel.)
2.788, 1000
2.378, 991
4.553, 631
1.610, 388
1.518, 326
1.394, 214
1.247, 166
1.809, 165


[5]
Diffraction record for Dy10Al4Ge11. The PXRD pattern is calculated, not measured: it uses the GGA-PBE geometry in the Materials Project and Cu Kα X-rays.

Structural model:
```
data_Dy10Al4Ge11
_chemical_formula_sum 'Dy10 Al4 Ge11'
_symmetry_space_group_name_H-M 'P 1'
_symmetry_Int_Tables_number 1
_cell_length_a 5.626
_cell_length_b 5.626
_cell_length_c 24.810
_cell_angle_alpha 98.58
_cell_angle_beta 98.58
_cell_angle_gamma 43.89
loop_
_symmetry_equiv_pos_as_xyz
'x,y,z'
loop_
_atom_site_label
_atom_site_fract_x
_atom_site_fract_y
_atom_site_fract_z
_atom_site_occupancy
Dy1 0.027 0.027 0.158 1
Dy2 0.170 0.170 0.443 1
Dy3 0.227 0.227 0.757 1
Dy4 0.373 0.373 0.042 1
Dy5 0.427 0.427 0.357 1
Dy6 0.573 0.573 0.643 1
Dy7 0.627 0.627 0.958 1
Dy8 0.773 0.773 0.243 1
Dy9 0.830 0.830 0.557 1
Dy10 0.973 0.973 0.842 1
Al1 0.099 0.099 0.300 1
Al2 0.300 0.300 0.900 1
Al3 0.700 0.700 0.100 1
Al4 0.901 0.901 0.700 1
Ge1 0.087 0.087 0.043 1
Ge2 0.119 0.119 0.559 1
Ge3 0.289 0.289 0.644 1
Ge4 0.313 0.313 0.157 1
Ge5 0.487 0.487 0.243 1
Ge6 0.500 0.500 0.500 1
Ge7 0.513 0.513 0.757 1
Ge8 0.687 0.687 0.843 1
Ge9 0.711 0.711 0.356 1
Ge10 0.881 0.881 0.441 1
Ge11 0.913 0.913 0.957 1
```

The 8 most intense peaks (2θ = 10–90°), by intensity:
d [Å], I (rel.)
2.682, 1000
3.434, 471
2.337, 327
2.367, 287
2.102, 253
1.594, 243
2.449, 227
2.442, 227


[6]
Diffraction record for Dy2AlGe2. The PXRD pattern is calculated, not measured: it uses the GGA-PBE geometry in the Materials Project and Cu Kα X-rays.

Structural model:
```
data_Dy2AlGe2
_chemical_formula_sum 'Dy4 Al2 Ge4'
_symmetry_space_group_name_H-M 'P 1'
_symmetry_Int_Tables_number 1
_cell_length_a 7.019
_cell_length_b 7.019
_cell_length_c 4.314
_cell_angle_alpha 90.00
_cell_angle_beta 90.00
_cell_angle_gamma 90.00
loop_
_symmetry_equiv_pos_as_xyz
'x,y,z'
loop_
_atom_site_label
_atom_site_fract_x
_atom_site_fract_y
_atom_site_fract_z
_atom_site_occupancy
Dy1 0.176 0.324 0.000 1
Dy2 0.324 0.824 0.000 1
Dy3 0.676 0.176 0.000 1
Dy4 0.824 0.676 0.000 1
Al1 0.000 0.000 0.500 1
Al2 0.500 0.500 0.500 1
Ge1 0.129 0.629 0.500 1
Ge2 0.371 0.129 0.500 1
Ge3 0.629 0.871 0.500 1
Ge4 0.871 0.371 0.500 1
```

The 8 most intense peaks (2θ = 10–90°), by intensity:
d [Å], I (rel.)
2.538, 1000
2.722, 236
2.220, 181
1.546, 175
1.583, 171
2.157, 169
3.509, 153
4.963, 136


[7]
Diffraction record for DyAl2Ge2. The PXRD pattern is calculated, not measured: it uses the GGA-PBE geometry in the Materials Project and Cu Kα X-rays.

Structural model:
```
data_DyAl2Ge2
_chemical_formula_sum 'Dy1 Al2 Ge2'
_symmetry_space_group_name_H-M 'P 1'
_symmetry_Int_Tables_number 1
_cell_length_a 4.292
_cell_length_b 4.292
_cell_length_c 6.587
_cell_angle_alpha 90.00
_cell_angle_beta 90.00
_cell_angle_gamma 120.00
loop_
_symmetry_equiv_pos_as_xyz
'x,y,z'
loop_
_atom_site_label
_atom_site_fract_x
_atom_site_fract_y
_atom_site_fract_z
_atom_site_occupancy
Dy1 0.000 0.000 0.000 1
Al1 0.333 0.667 0.644 1
Al2 0.667 0.333 0.356 1
Ge1 0.333 0.667 0.257 1
Ge2 0.667 0.333 0.743 1
```

The 8 most intense peaks (2θ = 10–90°), by intensity:
d [Å], I (rel.)
3.237, 1000
2.465, 691
2.146, 515
6.587, 290
1.891, 198
1.619, 190
1.789, 183
1.292, 178


[8]
Diffraction record for DyHoAl4. The PXRD pattern is calculated, not measured: it uses the GGA-PBE geometry in the Materials Project and Cu Kα X-rays.

Structural model:
```
data_DyHoAl4
_chemical_formula_sum 'Dy1 Ho1 Al4'
_symmetry_space_group_name_H-M 'P 1'
_symmetry_Int_Tables_number 1
_cell_length_a 5.554
_cell_length_b 5.554
_cell_length_c 5.554
_cell_angle_alpha 60.00
_cell_angle_beta 60.00
_cell_angle_gamma 60.00
loop_
_symmetry_equiv_pos_as_xyz
'x,y,z'
loop_
_atom_site_label
_atom_site_fract_x
_atom_site_fract_y
_atom_site_fract_z
_atom_site_occupancy
Dy1 0.000 0.000 0.000 1
Ho1 0.250 0.250 0.250 1
Al1 0.125 0.625 0.625 1
Al2 0.625 0.125 0.625 1
Al3 0.625 0.625 0.125 1
Al4 0.625 0.625 0.625 1
```

The 8 most intense peaks (2θ = 10–90°), by intensity:
d [Å], I (rel.)
2.777, 1000
2.368, 982
4.535, 641
1.603, 388
1.512, 323
1.389, 211
1.802, 167
1.242, 167


[9]
Diffraction record for Dy2Al9Ir3. The PXRD pattern is calculated, not measured: it uses the GGA-PBE geometry in the Materials Project and Cu Kα X-rays.

Structural model:
```
data_Dy2Al9Ir3
_chemical_formula_sum 'Dy4 Al18 Ir6'
_symmetry_space_group_name_H-M 'P 1'
_symmetry_Int_Tables_number 1
_cell_length_a 7.549
_cell_length_b 7.549
_cell_length_c 9.471
_cell_angle_alpha 90.00
_cell_angle_beta 90.00
_cell_angle_gamma 60.54
loop_
_symmetry_equiv_pos_as_xyz
'x,y,z'
loop_
_atom_site_label
_atom_site_fract_x
_atom_site_fract_y
_atom_site_fract_z
_atom_site_occupancy
Dy1 0.005 0.669 0.750 1
Dy2 0.331 0.995 0.750 1
Dy3 0.669 0.005 0.250 1
Dy4 0.995 0.331 0.250 1
Al1 0.002 0.666 0.074 1
Al2 0.002 0.666 0.426 1
Al3 0.127 0.873 0.250 1
Al4 0.334 0.666 0.554 1
Al5 0.334 0.666 0.946 1
Al6 0.334 0.998 0.074 1
Al7 0.334 0.998 0.426 1
Al8 0.338 0.454 0.250 1
Al9 0.454 0.338 0.750 1
Al10 0.546 0.662 0.250 1
Al11 0.662 0.546 0.750 1
Al12 0.666 0.002 0.574 1
Al13 0.666 0.002 0.926 1
Al14 0.666 0.334 0.054 1
Al15 0.666 0.334 0.446 1
Al16 0.873 0.127 0.750 1
Al17 0.998 0.334 0.574 1
Al18 0.998 0.334 0.926 1
Ir1 0.000 0.000 0.000 1
Ir2 0.000 0.000 0.500 1
Ir3 0.328 0.328 0.000 1
Ir4 0.328 0.328 0.500 1
Ir5 0.672 0.672 0.000 1
Ir6 0.672 0.672 0.500 1
```

The 8 most intense peaks (2θ = 10–90°), by intensity:
d [Å], I (rel.)
2.952, 1000
2.191, 591
2.966, 516
1.608, 311
2.368, 311
3.774, 308
2.173, 284
1.753, 274


[10]
Diffraction record for LiDy2Al. The PXRD pattern is calculated, not measured: it uses the GGA-PBE geometry in the Materials Project and Cu Kα X-rays.

Structural model:
```
data_LiDy2Al
_chemical_formula_sum 'Li1 Dy2 Al1'
_symmetry_space_group_name_H-M 'P 1'
_symmetry_Int_Tables_number 1
_cell_length_a 5.146
_cell_length_b 5.146
_cell_length_c 5.146
_cell_angle_alpha 60.00
_cell_angle_beta 60.00
_cell_angle_gamma 60.00
loop_
_symmetry_equiv_pos_as_xyz
'x,y,z'
loop_
_atom_site_label
_atom_site_fract_x
_atom_site_fract_y
_atom_site_fract_z
_atom_site_occupancy
Li1 0.000 0.000 0.000 1
Dy1 0.250 0.250 0.250 1
Dy2 0.750 0.750 0.750 1
Al1 0.500 0.500 0.500 1
```

The 8 most intense peaks (2θ = 10–90°), by intensity:
d [Å], I (rel.)
2.573, 1000
3.639, 824
1.486, 370
1.627, 337
2.101, 249
1.820, 179
1.151, 163
1.213, 161


[11]
Diffraction record for Dy2MgAl. The PXRD pattern is calculated, not measured: it uses the GGA-PBE geometry in the Materials Project and Cu Kα X-rays.

Structural model:
```
data_Dy2MgAl
_chemical_formula_sum 'Dy2 Mg1 Al1'
_symmetry_space_group_name_H-M 'P 1'
_symmetry_Int_Tables_number 1
_cell_length_a 5.200
_cell_length_b 5.200
_cell_length_c 5.200
_cell_angle_alpha 60.00
_cell_angle_beta 60.00
_cell_angle_gamma 60.00
loop_
_symmetry_equiv_pos_as_xyz
'x,y,z'
loop_
_atom_site_label
_atom_site_fract_x
_atom_site_fract_y
_atom_site_fract_z
_atom_site_occupancy
Dy1 0.250 0.250 0.250 1
Dy2 0.750 0.750 0.750 1
Mg1 0.000 0.000 0.000 1
Al1 0.500 0.500 0.500 1
```

The 8 most intense peaks (2θ = 10–90°), by intensity:
d [Å], I (rel.)
2.600, 1000
3.677, 628
1.501, 370
1.644, 262
2.123, 192
1.838, 179
1.163, 161
1.226, 125


[12]
Diffraction record for Dy3MnAlS7. The PXRD pattern is calculated, not measured: it uses the GGA-PBE geometry in the Materials Project and Cu Kα X-rays.

Structural model:
```
data_Dy3MnAlS7
_chemical_formula_sum 'Dy6 Mn2 Al2 S14'
_symmetry_space_group_name_H-M 'P 1'
_symmetry_Int_Tables_number 1
_cell_length_a 9.549
_cell_length_b 9.549
_cell_length_c 6.123
_cell_angle_alpha 90.00
_cell_angle_beta 90.00
_cell_angle_gamma 120.00
loop_
_symmetry_equiv_pos_as_xyz
'x,y,z'
loop_
_atom_site_label
_atom_site_fract_x
_atom_site_fract_y
_atom_site_fract_z
_atom_site_occupancy
Dy1 0.151 0.375 0.000 1
Dy2 0.224 0.849 0.000 1
Dy3 0.375 0.224 0.500 1
Dy4 0.625 0.776 0.000 1
Dy5 0.776 0.151 0.500 1
Dy6 0.849 0.625 0.500 1
Mn1 0.000 0.000 0.339 1
Mn2 0.000 0.000 0.839 1
Al1 0.333 0.667 0.429 1
Al2 0.667 0.333 0.929 1
S1 0.090 0.571 0.274 1
S2 0.095 0.221 0.595 1
S3 0.126 0.905 0.595 1
S4 0.221 0.126 0.095 1
S5 0.333 0.667 0.792 1
S6 0.429 0.518 0.274 1
S7 0.482 0.910 0.274 1
S8 0.518 0.090 0.774 1
S9 0.571 0.482 0.774 1
S10 0.667 0.333 0.292 1
S11 0.779 0.874 0.595 1
S12 0.874 0.095 0.095 1
S13 0.905 0.779 0.095 1
S14 0.910 0.429 0.774 1
```

The 8 most intense peaks (2θ = 10–90°), by intensity:
d [Å], I (rel.)
3.427, 1000
4.921, 464
2.187, 342
2.461, 335
2.514, 331
2.387, 317
3.126, 307
2.148, 274